Record 1
Computed X-ray diffraction stick pattern of USi2Au3 for Cu Kα (λ = 1.5418 Å), from a crystal structure in Alexandria, relaxed with GGA-PBE.
Intensities are scaled so that the largest is 100.

Peak list (10 most intense, 2θ = 5–70°, low angle first)
h k l	d_spacing	Position (°2θ)	intensity
4 0 0	3.519	25.31	19
1 1 -2	2.776	32.25	38
3 1 -2	2.758	32.47	16
3 1 1	2.569	34.92	100
2 0 -3	2.474	36.31	38
5 1 -2	2.400	37.47	71
0 2 0	2.139	42.26	37
8 0 -1	1.931	47.05	14
2 2 -3	1.618	56.91	21
2 2 3	1.417	65.92	18

```
data_USi2Au3
_chemical_formula_sum 'U4 Si8 Au12'
_symmetry_space_group_name_H-M 'C 1 2/m 1'
_symmetry_Int_Tables_number 12
_symmetry_space_group_name_Hall '-C 2y'
_cell_length_a 15.8079
_cell_length_b 4.2774
_cell_length_c 7.5114
_cell_angle_alpha 90.00
_cell_angle_beta 117.08
_cell_angle_gamma 90.00
loop_
_atom_site_label
_atom_site_fract_x
_atom_site_fract_y
_atom_site_fract_z
_atom_site_occupancy
U1 0.1400 0.0000 0.0676 1
Si1 0.0105 0.5000 0.1631 1
Si2 0.2046 0.0000 0.7303 1
Au1 0.0485 0.0000 0.3795 1
Au2 0.1260 0.5000 0.7459 1
Au3 0.1836 0.5000 0.4173 1
```

=====

Record 2
Computed X-ray diffraction stick pattern of NpAs2Pd5 for Cu Kα (λ = 1.5418 Å), from a crystal structure in Alexandria, relaxed with GGA-PBE.
Intensities are scaled so that the largest is 100.

Peak list (10 most intense, 2θ = 5–70°, low angle first)
h k l	d_spacing	Position (°2θ)	intensity
0 2 2	2.900	30.83	33
1 1 2	2.850	31.39	24
1 2 1	2.620	34.22	100
1 0 3	2.499	35.94	96
0 3 1	2.366	38.04	19
1 3 0	2.096	43.16	16
2 0 0	2.041	44.38	38
0 2 4	1.990	45.58	47
1 3 2	1.917	47.42	22
2 2 4	1.425	65.51	32

```
data_NpAs2Pd5
_chemical_formula_sum 'Np2 As4 Pd10'
_symmetry_space_group_name_H-M 'I m m m'
_symmetry_Int_Tables_number 71
_symmetry_space_group_name_Hall '-I 2 2'
_cell_length_a 4.0820
_cell_length_b 7.3281
_cell_length_c 9.4816
_cell_angle_alpha 90.00
_cell_angle_beta 90.00
_cell_angle_gamma 90.00
loop_
_atom_site_label
_atom_site_fract_x
_atom_site_fract_y
_atom_site_fract_z
_atom_site_occupancy
Np1 0.0000 0.0000 0.0000 1
As1 0.0000 0.5000 0.2590 1
Pd1 0.0000 0.1924 0.3511 1
Pd2 0.0000 0.5000 0.0000 1
```

=====

Record 3
Computed X-ray diffraction stick pattern of Ac3Sn2Pt for Cu Kα (λ = 1.5418 Å), from a crystal structure in Alexandria, relaxed with GGA-PBE.
Intensities are scaled so that the largest is 100.

Peak list (10 most intense, 2θ = 5–70°, low angle first)
h k l	d_spacing	Position (°2θ)	intensity
2 1 1	3.707	24.01	29
2 1 2	3.315	26.90	43
0 1 3	3.189	27.98	100
1 0 4	3.116	28.65	27
3 1 2	2.887	30.98	74
4 1 1	2.652	33.80	58
5 0 1	2.578	34.80	36
2 1 4	2.470	36.38	45
0 2 0	2.394	37.58	81
5 1 3	2.030	44.65	27

```
data_Ac3Sn2Pt
_chemical_formula_sum 'Ac12 Sn8 Pt4'
_symmetry_space_group_name_H-M 'P n m a'
_symmetry_Int_Tables_number 62
_symmetry_space_group_name_Hall '-P 2ac 2n'
_cell_length_a 13.1530
_cell_length_b 4.7896
_cell_length_c 12.8291
_cell_angle_alpha 90.00
_cell_angle_beta 90.00
_cell_angle_gamma 90.00
loop_
_atom_site_label
_atom_site_fract_x
_atom_site_fract_y
_atom_site_fract_z
_atom_site_occupancy
Ac1 0.0568 0.2500 0.1263 1
Ac2 0.1150 0.7500 0.5501 1
Ac3 0.2292 0.2500 0.8012 1
Sn1 0.0109 0.7500 0.3061 1
Sn2 0.1959 0.7500 0.9979 1
Pt1 0.1230 0.2500 0.3675 1
```